This entry pairs a crystal structure of Pu3Pd2Pt7 with its theoretical PXRD pattern. Radiation: Cu Ka. Structure: a DFT-relaxed cell (PBE, Alexandria).
Lines closer than 0.1° are merged.

Main lines, sorted by position (2θ from 5° to 70°):
2θ/deg  I_rel  h k l
30.2  266  1 0 7
33.0  258  0 1 8
38.6  387  0 2 1
39.0  1000  1 1 6
42.1  303  2 0 5
69.5  242  2 2 0

Structural model:
Cell lengths 5.4121, 5.4121, 26.6812 Å; angles 90.00, 90.00, 120.00 degrees
Space group R-3m (No. 166, hexagonal axes)
Symmetry-distinct sites (fractional):
1 Pu 0.0000 0.0000 0.0000 [3 per cell]
2 Pu 0.0000 0.0000 0.1413 [6 per cell]
3 Pd 0.0000 0.0000 0.3327 [6 per cell]
4 Pt 0.0000 0.0000 0.5000 [3 per cell]
5 Pt 0.0035 0.5018 0.9150 [18 per cell]


This entry pairs a crystal structure of RePd5Pt2 with its theoretical PXRD pattern. Radiation: Cu Ka. Structure: a DFT-relaxed cell (PBE, Alexandria).
Lines closer than 0.1° are merged.

Main lines, sorted by position (2θ from 5° to 70°):
2θ/deg  I_rel  h k l
22.5  45  1 2 0
39.7  1000  2 0 1
45.9  326  2 4 0
46.5  161  0 0 2
67.0  103  4 0 0
67.4  206  2 4 2

Structural model:
Cell lengths 5.589, 11.171, 3.910 Å; angles 90.00, 90.00, 90.00 degrees
Space group Pbam (No. 55)
Symmetry-distinct sites (fractional):
1 Re 0.000 0.000 0.000 [2 per cell]
2 Pd 0.000 0.500 0.000 [2 per cell]
3 Pd 0.004 0.245 0.000 [4 per cell]
4 Pd 0.248 0.624 0.500 [4 per cell]
5 Pt 0.239 0.881 0.500 [4 per cell]


This entry pairs a crystal structure of PdPt2Rh5 with its theoretical PXRD pattern. Radiation: Cu Ka. Structure: a DFT-relaxed cell (PBE, Alexandria).
Lines closer than 0.1° are merged.

Main lines, sorted by position (2θ from 5° to 70°):
2θ/deg  I_rel  h k l
23.5  1000  1 0 -1
25.6  917  0 1 -1
40.1  811  2 1 1
40.2  491  -2 1 1
42.6  674  0 2 2
48.4  551  2 2 0

Structural model:
Cell lengths 5.292, 5.442, 5.536 Å; angles 78.76, 89.86, 89.90 degrees
Space group P-1 (No. 2)
Symmetry-distinct sites (fractional):
1 Pd 0.000 0.000 0.000 [1 per cell]
2 Pt 0.000 0.500 0.000 [1 per cell]
3 Pt 0.500 0.000 0.500 [1 per cell]
4 Rh 0.000 0.000 0.500 [1 per cell]
5 Rh 0.261 0.340 0.674 [2 per cell]
6 Rh 0.263 0.661 0.324 [2 per cell]


This entry pairs a crystal structure of PdPt3Rh6 with its theoretical PXRD pattern. Radiation: Cu Ka. Structure: a DFT-relaxed cell (PBE, Alexandria).
Lines closer than 0.1° are merged.

Main lines, sorted by position (2θ from 5° to 70°):
2θ/deg  I_rel  h k l
37.4  804  2 4 1
40.4  1000  3 1 1
40.7  606  1 3 2
42.0  601  1 7 0
43.7  788  3 3 1
45.7  596  2 6 1

Structural model:
Cell lengths 7.526, 15.732, 5.171 Å; angles 90.00, 90.00, 90.00 degrees
Space group Cmc2_1 (No. 36)
Symmetry-distinct sites (fractional):
1 Pd 0.000 0.161 0.000 [4 per cell]
2 Pt 0.000 0.422 0.127 [4 per cell]
3 Pt 0.179 0.120 0.477 [8 per cell]
4 Rh 0.000 0.007 0.758 [4 per cell]
5 Rh 0.000 0.312 0.742 [4 per cell]
6 Rh 0.177 0.277 0.316 [8 per cell]
7 Rh 0.200 0.443 0.529 [8 per cell]


This entry pairs a crystal structure of PdPt4Rh3 with its theoretical PXRD pattern. Radiation: Cu Ka. Structure: a DFT-relaxed cell (PBE, Alexandria).
Lines closer than 0.1° are merged.

Main lines, sorted by position (2θ from 5° to 70°):
2θ/deg  I_rel  h k l
22.6  82  4 0 0
39.8  1000  3 1 1
46.2  163  8 0 0
46.4  325  0 2 0
67.6  158  8 2 0
67.7  158  2 2 -2

Structural model:
Cell lengths 16.182, 3.914, 3.914 Å; angles 90.00, 103.91, 90.00 degrees
Space group C2/m (No. 12)
Symmetry-distinct sites (fractional):
1 Pd 0.000 0.000 0.000 [2 per cell]
2 Pt 0.127 0.000 0.627 [4 per cell]
3 Pt 0.127 0.500 0.127 [4 per cell]
4 Rh 0.000 0.500 0.500 [2 per cell]
5 Rh 0.249 0.500 0.749 [4 per cell]


This entry pairs a crystal structure of Pd12Pt3Rh with its theoretical PXRD pattern. Radiation: Cu Ka. Structure: a DFT-relaxed cell (PBE, Alexandria).
Lines closer than 0.1° are merged.

Main lines, sorted by position (2θ from 5° to 70°):
2θ/deg  I_rel  h k l
22.6  47  0 0 4
32.1  40  1 1 0
39.6  1000  1 1 4
46.0  325  2 0 0
46.1  161  0 0 8
67.2  310  2 2 0

Structural model:
Cell lengths 3.943, 3.943, 15.741 Å; angles 90.00, 90.00, 90.00 degrees
Space group P4/mmm (No. 123)
Symmetry-distinct sites (fractional):
1 Pd 0.000 0.000 0.000 [1 per cell]
2 Pd 0.000 0.000 0.249 [2 per cell]
3 Pd 0.000 0.000 0.500 [1 per cell]
4 Pd 0.000 0.500 0.123 [4 per cell]
5 Pd 0.000 0.500 0.375 [4 per cell]
6 Pt 0.500 0.500 0.249 [2 per cell]
7 Pt 0.500 0.500 0.500 [1 per cell]
8 Rh 0.500 0.500 0.000 [1 per cell]